[1]
SrCoC: calculated powder XRD pattern (λ = 1.5418 Å (Cu Kα)), based on DFT lattice parameters and positions (PBE).
Peak positions follow from Bragg's law for the DFT cell and can differ from measured ones.

The 10 most intense peaks (10° ≤ 2θ ≤ 90°), most intense first:
2θ/deg  I/Imax  index
33.39  100  1 1 1
34.94  62  2 1 -1
33.19  48  1 2 -1
27.83  31  1 0 -2
45.18  27  1 1 -3
28.24  24  0 2 0
40.06  23  1 2 -2
34.56  19  2 0 -2
35.51  19  0 1 2
33.87  16  1 2 0

Structural model:
Cell: 5.641 6.320 6.426 Å, 90.00 120.85 90.00°
Space group P2_1/c (No. 14)
Asymmetric unit:
Sr (0.151, 0.043, 0.333) (multiplicity 4)
Co (0.462, 0.627, 0.613) (multiplicity 4)
C (0.452, 0.663, 0.315) (multiplicity 4)

---

[2]
TlCo2TcC: calculated powder XRD pattern (λ = 1.5418 Å (Cu Kα)), based on DFT lattice parameters and positions (PBE).
Peak positions follow from Bragg's law for the DFT cell and can differ from measured ones.

The 10 most intense peaks (10° ≤ 2θ ≤ 90°), most intense first:
2θ/deg  I/Imax  index
29.71  100  1 0 1
38.48  57  2 0 0
49.36  50  2 1 1
35.49  41  1 1 1
61.70  27  2 0 2
26.95  27  1 1 0
55.55  19  2 2 0
46.27  17  0 0 2
75.12  15  2 2 2
77.47  13  3 2 1

Structural model:
Cell: 4.679 4.679 3.924 Å, 90.00 90.00 90.00°
Space group P4/mmm (No. 123)
Asymmetric unit:
Tl (0.000, 0.000, 0.000) (multiplicity 1)
Co (0.000, 0.500, 0.500) (multiplicity 2)
Tc (0.500, 0.500, 0.500) (multiplicity 1)
C (0.500, 0.500, 0.000) (multiplicity 1)

---

[3]
Th2CoC4: calculated powder XRD pattern (λ = 1.5418 Å (Cu Kα)), based on DFT lattice parameters and positions (PBE).
Peak positions follow from Bragg's law for the DFT cell and can differ from measured ones.

The 10 most intense peaks (10° ≤ 2θ ≤ 90°), most intense first:
2θ/deg  I/Imax  index
27.03  100  1 2 1
31.00  33  2 1 1
49.33  19  0 4 2
34.21  19  0 0 2
58.07  18  3 3 2
28.45  17  1 3 0
37.85  17  3 1 0
42.41  17  2 0 2
24.30  16  2 0 0
34.44  15  0 4 0

Structural model:
Cell: 7.324 10.417 5.242 Å, 90.00 90.00 90.00°
Space group Ibam (No. 72)
Asymmetric unit:
Th (0.184, 0.139, 0.000) (multiplicity 8)
Co (0.000, 0.500, 0.250) (multiplicity 4)
C (0.157, 0.129, 0.500) (multiplicity 8)
C (0.163, 0.413, 0.000) (multiplicity 8)

---

[4]
Th2Co5C2: calculated powder XRD pattern (λ = 1.5418 Å (Cu Kα)), based on DFT lattice parameters and positions (PBE).
Peak positions follow from Bragg's law for the DFT cell and can differ from measured ones.

The 10 most intense peaks (10° ≤ 2θ ≤ 90°), most intense first:
2θ/deg  I/Imax  index
38.78  100  3 1 -2
26.00  99  2 0 1
30.80  89  1 1 1
42.59  85  3 1 1
34.84  81  1 1 -2
40.30  65  0 0 3
33.19  50  4 0 -1
25.69  49  2 0 -2
49.94  45  0 2 0
36.02  31  4 0 0

Structural model:
Cell: 10.797 3.653 7.269 Å, 90.00 112.53 90.00°
Space group C2/m (No. 12)
Asymmetric unit:
Th (0.094, 0.000, 0.331) (multiplicity 4)
Co (0.000, 0.500, 0.000) (multiplicity 2)
Co (0.114, 0.500, 0.634) (multiplicity 4)
Co (0.174, 0.000, 0.999) (multiplicity 4)
C (0.137, 0.500, 0.901) (multiplicity 4)